Structure and simulated PXRD pattern of NbPb2ClO4 (a DFT-relaxed cell (PBE, Alexandria); Cu Kα (weighted mean of Kα1 and Kα2)).

```
16
Lattice="10.5069 0.0000 0.0000 0.0000 3.2811 0.0000 -4.9733 0.0000 9.4728" Properties=species:S:1:pos:R:3 pbc="T T T"
Nb 0.0000 0.0000 0.0000
Nb 5.2534 1.6405 0.0000
Pb -2.6561 1.6405 7.2286
Pb 2.9362 0.0000 2.2442
Pb 2.5973 0.0000 7.2286
Pb 8.1896 1.6405 2.2442
Cl -2.4867 0.0000 4.7364
Cl 2.7668 1.6405 4.7364
O -0.7310 0.0000 1.8435
O 1.2261 1.6405 0.4256
O -0.9460 0.0000 9.0472
O 1.0111 1.6405 7.6293
O 4.5224 1.6405 1.8435
O 6.4795 0.0000 0.4256
O 4.3074 1.6405 9.0472
O 6.2645 0.0000 7.6293
```

Peak list (6 most intense, 10 to 80 degrees two-theta, by intensity)
| 2theta | d [Å] | I_rel |
| --- | --- | --- |
| 16.88 | 5.251 | 100 |
| 24.94 | 3.570 | 89 |
| 32.01 | 2.796 | 88 |
| 37.78 | 2.381 | 71 |
| 25.70 | 3.467 | 70 |
| 28.91 | 3.088 | 65 |

***

Structure and simulated PXRD pattern of BaTbC3N6 (a DFT-relaxed cell (PBE, Alexandria); Cu Kα (weighted mean of Kα1 and Kα2)).

```
11
Lattice="5.2180 3.0126 2.4887 -5.2180 3.0126 2.4887 0.0000 -6.0252 2.4887" Properties=species:S:1:pos:R:3 pbc="T T T"
Ba 0.0000 0.0000 0.0000
Tb 0.0000 0.0000 3.7331
C -2.6192 -1.4887 2.4887
C 2.5988 -1.5240 2.4887
C 0.0204 3.0126 2.4887
N -1.5800 -0.8895 2.2047
N 1.5604 -0.9236 2.2047
N 0.0197 1.8131 2.2047
N -1.5800 0.8895 5.2615
N 0.0197 -1.8131 5.2615
N 1.5604 0.9236 5.2615
```

Peak list (6 most intense, 10 to 80 degrees two-theta, by intensity)
| 2theta | d [Å] | I_rel |
| --- | --- | --- |
| 16.99 | 5.218 | 100 |
| 31.07 | 2.878 | 34 |
| 35.63 | 2.520 | 31 |
| 43.49 | 2.081 | 23 |
| 25.82 | 3.450 | 23 |
| 34.37 | 2.609 | 20 |

***

Structure and simulated PXRD pattern of Cr6P7 (a DFT-relaxed cell (PBE, Alexandria); Cu Kα (weighted mean of Kα1 and Kα2)).

```
13
Lattice="2.3051 1.3309 9.6030 -2.3051 1.3309 9.6030 0.0000 -2.6617 9.6030" Properties=species:S:1:pos:R:3 pbc="T T T"
Cr 0.0000 0.0000 1.1653
Cr 0.0000 0.0000 5.5893
Cr 0.0000 0.0000 9.4728
Cr 0.0000 0.0000 19.3363
Cr 0.0000 0.0000 23.2198
Cr 0.0000 0.0000 27.6438
P -1.1292 -0.6520 11.6642
P 0.0000 -1.3039 17.1449
P -1.1292 0.6520 17.1449
P 0.0000 0.0000 14.4045
P 1.1292 -0.6520 11.6642
P 0.0000 1.3039 11.6642
P 1.1292 0.6520 17.1449
```

Peak list (6 most intense, 10 to 80 degrees two-theta, by intensity)
| 2theta | d [Å] | I_rel |
| --- | --- | --- |
| 43.55 | 2.078 | 100 |
| 39.08 | 2.305 | 95 |
| 46.89 | 1.938 | 61 |
| 52.41 | 1.746 | 55 |
| 50.83 | 1.796 | 55 |
| 45.55 | 1.992 | 34 |

***

Structure and simulated PXRD pattern of LaMgBeCu (a DFT-relaxed cell (PBE, Alexandria); Cu Kα (weighted mean of Kα1 and Kα2)).

```
16
Lattice="6.8285 0.0000 0.0000 0.0000 6.8285 0.0000 0.0000 0.0000 6.8285" Properties=species:S:1:pos:R:3 pbc="T T T"
La 0.0000 0.0000 0.0000
La 0.0000 3.4142 3.4142
La 3.4142 0.0000 3.4142
La 3.4142 3.4142 0.0000
Mg 0.0000 0.0000 3.4142
Mg 0.0000 3.4142 0.0000
Mg 3.4142 0.0000 0.0000
Mg 3.4142 3.4142 3.4142
Be 1.7071 1.7071 5.1213
Be 1.7071 5.1213 1.7071
Be 5.1213 1.7071 1.7071
Be 5.1213 5.1213 5.1213
Cu 1.7071 1.7071 1.7071
Cu 1.7071 5.1213 5.1213
Cu 5.1213 1.7071 5.1213
Cu 5.1213 5.1213 1.7071
```

Peak list (6 most intense, 10 to 80 degrees two-theta, by intensity)
| 2theta | d [Å] | I_rel |
| --- | --- | --- |
| 37.24 | 2.414 | 100 |
| 22.55 | 3.942 | 69 |
| 43.98 | 2.059 | 36 |
| 67.16 | 1.394 | 34 |
| 53.69 | 1.707 | 17 |
| 26.10 | 3.414 | 17 |

***

Structure and simulated PXRD pattern of La6PrPt4 (a DFT-relaxed cell (PBE, Alexandria); Cu Kα (weighted mean of Kα1 and Kα2)).

```
11
Lattice="6.1547 0.0000 0.0000 -0.5226 6.1329 0.0000 -2.7328 -3.1394 8.5515" Properties=species:S:1:pos:R:3 pbc="T T T"
La 0.0000 0.0000 0.0000
La -1.5143 -1.3753 5.2990
La -0.4517 3.1151 2.4445
La 2.5447 3.3156 0.0423
La 1.2535 1.6270 5.2985
La 3.0133 0.1860 2.4420
Pr 1.5853 -1.4552 5.8579
Pt -0.0420 0.0405 3.0236
Pt 0.2642 -2.9515 8.0637
Pt 2.6108 3.2568 3.0447
Pt 2.9654 -0.0097 8.0644
```

Peak list (6 most intense, 10 to 80 degrees two-theta, by intensity)
| 2theta | d [Å] | I_rel |
| --- | --- | --- |
| 30.89 | 2.894 | 100 |
| 31.38 | 2.851 | 100 |
| 29.12 | 3.066 | 96 |
| 36.20 | 2.481 | 94 |
| 31.07 | 2.878 | 92 |
| 35.89 | 2.502 | 89 |

***

Structure and simulated PXRD pattern of La4TlGe (a DFT-relaxed cell (PBE, Alexandria); Cu Kα (weighted mean of Kα1 and Kα2)).

```
12
Lattice="6.0809 0.0000 0.0000 0.0000 7.0856 0.0000 -1.5303 0.0000 8.8854" Properties=species:S:1:pos:R:3 pbc="T T T"
La 0.5324 0.1382 2.2890
La 0.5324 3.4046 2.2890
La 1.0110 1.7714 5.6517
La 0.6478 5.3142 8.4963
La 3.9028 1.7714 0.3891
La 3.5396 5.3142 3.2337
La 4.0182 3.6810 6.5963
La 4.0182 6.9475 6.5963
Tl 0.7794 5.3142 5.1774
Tl 3.7712 1.7714 3.7080
Ge -0.5267 1.7714 8.4912
Ge 5.0773 5.3142 0.3941
```

Peak list (6 most intense, 10 to 80 degrees two-theta, by intensity)
| 2theta | d [Å] | I_rel |
| --- | --- | --- |
| 29.81 | 2.998 | 100 |
| 32.32 | 2.770 | 70 |
| 30.15 | 2.964 | 65 |
| 31.84 | 2.811 | 64 |
| 31.34 | 2.855 | 61 |
| 36.03 | 2.492 | 29 |

***

Structure and simulated PXRD pattern of Rb4NaU3S12 (a DFT-relaxed cell (PBE, Alexandria); Cu Kα (weighted mean of Kα1 and Kα2)).

```
20
Lattice="-5.2374 5.2374 5.2374 5.2374 -5.2374 5.2374 5.2374 5.2374 -5.2374" Properties=species:S:1:pos:R:3 pbc="T T T"
Rb 2.6187 2.6187 -2.6187
Rb 2.6187 -2.6187 2.6187
Rb -2.6187 2.6187 2.6187
Rb 2.6187 2.6187 2.6187
Na 0.0000 0.0000 0.0000
U 5.2374 0.0000 0.0000
U 0.0000 5.2374 0.0000
U 0.0000 0.0000 5.2374
S 2.8109 0.0000 0.0000
S 7.6639 0.0000 0.0000
S 5.2374 2.6187 0.0000
S 5.2374 0.0000 2.6187
S 0.0000 2.8109 0.0000
S 0.0000 0.0000 2.8109
S 2.6187 5.2374 0.0000
S 2.6187 0.0000 5.2374
S 0.0000 7.6639 0.0000
S 0.0000 0.0000 7.6639
S 0.0000 5.2374 2.6187
S 0.0000 2.6187 5.2374
```

Peak list (6 most intense, 10 to 80 degrees two-theta, by intensity)
| 2theta | d [Å] | I_rel |
| --- | --- | --- |
| 24.03 | 3.703 | 100 |
| 34.24 | 2.619 | 51 |
| 42.27 | 2.138 | 46 |
| 49.21 | 1.852 | 35 |
| 16.93 | 5.237 | 33 |
| 11.95 | 7.407 | 27 |

***

Structure and simulated PXRD pattern of SmErPu2Te5 (a DFT-relaxed cell (PBE, Alexandria); Cu Kα (weighted mean of Kα1 and Kα2)).

```
9
Lattice="5.4859 0.0000 0.0000 0.0000 5.4859 0.0000 0.0000 0.0000 11.6714" Properties=species:S:1:pos:R:3 pbc="T T T"
Sm 0.0000 0.0000 0.0000
Er 0.0000 0.0000 5.8357
Pu 2.7429 2.7429 3.7384
Pu 2.7429 2.7429 7.9330
Te 0.0000 0.0000 2.8896
Te 0.0000 0.0000 8.7818
Te 0.0000 2.7429 5.8357
Te 2.7429 0.0000 5.8357
Te 2.7429 2.7429 0.0000
```

Peak list (6 most intense, 10 to 80 degrees two-theta, by intensity)
| 2theta | d [Å] | I_rel |
| --- | --- | --- |
| 32.63 | 2.745 | 100 |
| 22.92 | 3.880 | 65 |
| 28.12 | 3.173 | 33 |
| 58.20 | 1.585 | 24 |
| 46.84 | 1.940 | 22 |
| 43.62 | 2.075 | 21 |